[1]
This entry pairs a crystal structure of Rb3Sm3PuSe8 with its theoretical PXRD pattern. Radiation: CuKα. Structure: a crystal structure in Alexandria, relaxed with PBE.
Kinematic intensities with the Lorentz-polarization factor, no thermal factor.

The 12 most intense peaks (2θ from 10° to 80°), in order of falling intensity:
h k l, two_theta, I_rel
2 2 -2, 28.19, 100
0 0 1, 10.86, 53
0 4 0, 42.28, 36
2 2 2, 38.19, 23
4 0 1, 35.34, 19
8 0 -4, 51.59, 19
8 4 -4, 68.84, 15
6 2 -6, 63.04, 12
4 0 -4, 38.20, 11
6 2 -1, 43.79, 11
2 2 3, 47.74, 11
0 0 4, 44.45, 11

Crystal structure
```
data_Rb3Sm3PuSe8
_symmetry_space_group_name_H-M 'C 1 2/m 1'
_symmetry_Int_Tables_number 12
_symmetry_space_group_name_Hall '-C 2y'
_cell_length_a 14.804
_cell_length_b 8.552
_cell_length_c 9.524
_cell_angle_alpha 90.00
_cell_angle_beta 121.20
_cell_angle_gamma 90.00
loop_
_atom_site_label
_atom_site_fract_x
_atom_site_fract_y
_atom_site_fract_z
Rb1 0.000 0.000 0.000
Rb2 0.250 0.250 0.000
Sm1 0.000 0.500 0.500
Sm2 0.250 0.250 0.500
Pu1 0.000 0.000 0.500
Se1 0.017 0.243 0.308
Se2 0.226 0.000 0.691
Se3 0.233 0.500 0.698
```


[2]
This entry pairs a crystal structure of Rb2Pu2Te2Se with its theoretical PXRD pattern. Radiation: CuKα. Structure: a crystal structure in Alexandria, relaxed with PBE.
Kinematic intensities with the Lorentz-polarization factor, no thermal factor.

The 12 most intense peaks (2θ from 10° to 80°), in order of falling intensity:
h k l, two_theta, I_rel
1 1 4, 30.09, 100
2 0 0, 32.31, 98
1 1 2, 24.74, 86
0 0 6, 29.35, 80
2 0 6, 44.22, 65
2 0 2, 33.82, 42
2 2 0, 46.35, 36
3 1 4, 56.25, 35
2 0 10, 60.85, 25
2 2 6, 55.83, 23
3 1 2, 53.24, 22
1 1 6, 37.47, 21

Crystal structure
```
data_Rb2Pu2Te2Se
_symmetry_space_group_name_H-M 'I 4/m m m'
_symmetry_Int_Tables_number 139
_symmetry_space_group_name_Hall '-I 4 2'
_cell_length_a 5.541
_cell_length_b 5.541
_cell_length_c 18.221
_cell_angle_alpha 90.00
_cell_angle_beta 90.00
_cell_angle_gamma 90.00
loop_
_atom_site_label
_atom_site_fract_x
_atom_site_fract_y
_atom_site_fract_z
Rb1 0.000 0.000 0.185
Pu1 0.000 0.500 0.000
Te1 0.000 0.000 0.390
Se1 0.000 0.000 0.000
```


[3]
This entry pairs a crystal structure of Rb3Pu2TiSe6 with its theoretical PXRD pattern. Radiation: CuKα. Structure: a crystal structure in Alexandria, relaxed with PBE.
Kinematic intensities with the Lorentz-polarization factor, no thermal factor.

The 12 most intense peaks (2θ from 10° to 80°), in order of falling intensity:
h k l, two_theta, I_rel
1 3 1, 28.94, 100
0 0 1, 11.11, 38
0 6 0, 43.51, 34
1 3 -3, 39.16, 22
4 0 0, 53.10, 17
2 6 2, 59.96, 17
4 6 0, 70.99, 16
2 0 -3, 36.25, 14
0 0 4, 45.55, 12
3 3 3, 64.81, 12
5 3 1, 76.95, 12
2 0 2, 39.19, 11

Crystal structure
```
data_Rb3Pu2TiSe6
_symmetry_space_group_name_H-M 'C 1 2/m 1'
_symmetry_Int_Tables_number 12
_symmetry_space_group_name_Hall '-C 2y'
_cell_length_a 7.205
_cell_length_b 12.482
_cell_length_c 8.323
_cell_angle_alpha 90.00
_cell_angle_beta 106.83
_cell_angle_gamma 90.00
loop_
_atom_site_label
_atom_site_fract_x
_atom_site_fract_y
_atom_site_fract_z
Rb1 0.000 0.000 0.000
Rb2 0.000 0.329 0.000
Pu1 0.000 0.166 0.500
Ti1 0.000 0.500 0.500
Se1 0.219 0.344 0.690
Se2 0.247 0.500 0.309
```